Simulated powder X-ray diffraction pattern
Compound: CuReO4
Radiation: Cu Kα (weighted mean of Kα1 and Kα2)
Structure: a DFT-relaxed cell (PBE, the Materials Project)
Intensities are scaled so that the largest is 100.

Principal peaks in the range 2θ from 5° to 70°, by angle:
(hkl)  d (Å)  I_rel
1 0 0  4.764  72.8
1 0 -1  3.849  38.8
0 1 -1  3.781  36.4
0 1 1  3.764  35.1
1 0 1  3.557  48.2
-1 1 1  3.077  92.6
1 1 -1  2.995  84.8
1 -1 1  2.928  100.0
1 1 1  2.844  62.3
0 2 0  2.468  45.9

Structural model:
```
CuReO4
1.0
4.783 0.000 0.000
-0.188 4.935 0.000
-0.472 -0.026 5.852
Cu Re O
2 2 8
direct
0.008 0.252 0.166 Cu
0.992 0.748 0.834 Cu
0.484 0.247 0.675 Re
0.516 0.753 0.325 Re
0.238 0.610 0.128 O
0.250 0.092 0.861 O
0.286 0.552 0.600 O
0.291 0.064 0.386 O
0.709 0.936 0.614 O
0.714 0.448 0.400 O
0.750 0.908 0.139 O
0.762 0.390 0.872 O
```